[1]
The following is a theoretical powder X-ray diffraction pattern of BaNb2O6. It was derived from a cell relaxed with PBE, using Cu Ka.

Largest 10 diffraction maxima, most intense first, 10° ≤ 2θ ≤ 90°:
2θ/deg, I_rel
29.3, 100
27.9, 92
28.1, 65
28.7, 45
51.3, 43
54.9, 29
45.3, 22
40.6, 21
51.0, 18
41.2, 15

Crystal structure
```
BaNb2O6
1.0
3.9999 -6.2117 0.0000
3.9999 6.2117 0.0000
0.0000 0.0000 10.4901
Ba Nb O
4 8 24
direct
0.0756 0.9244 0.7500
0.3690 0.6310 0.2500
0.6310 0.3690 0.7500
0.9244 0.0756 0.2500
0.0862 0.3728 0.9218
0.1356 0.4120 0.5717
0.3728 0.0862 0.0782
0.4120 0.1356 0.4283
0.5880 0.8644 0.9283
0.6272 0.9138 0.5782
0.8644 0.5880 0.0717
0.9138 0.6272 0.4218
0.0181 0.4240 0.1078
0.0204 0.4210 0.3903
0.1560 0.8386 0.3857
0.1614 0.8440 0.1143
0.1913 0.1913 0.5000
0.2005 0.2005 0.0000
0.2034 0.3654 0.7498
0.3654 0.2034 0.2502
0.3784 0.6199 0.5364
0.3801 0.6216 0.9636
0.4210 0.0204 0.6097
0.4240 0.0181 0.8922
0.5760 0.9819 0.3922
0.5790 0.9796 0.1097
0.6199 0.3784 0.4636
0.6216 0.3801 0.0364
0.6346 0.7966 0.7502
0.7966 0.6346 0.2498
0.7995 0.7995 0.5000
0.8087 0.8087 0.0000
0.8386 0.1560 0.6143
0.8440 0.1614 0.8857
0.9796 0.5790 0.8903
0.9819 0.5760 0.6078
```


[2]
The following is a theoretical powder X-ray diffraction pattern of ErGe2Ir. It was derived from a cell relaxed with PBE, using Cu Ka.

Largest 10 diffraction maxima, most intense first, 10° ≤ 2θ ≤ 90°:
2θ/deg, I_rel
33.6, 100
34.9, 51
42.5, 36
39.1, 28
40.6, 22
49.2, 19
20.0, 18
69.4, 18
38.7, 17
59.2, 17

Crystal structure
```
ErGe2Ir
1.0
-2.1257 4.4479 8.0690
2.1257 -4.4479 8.0690
2.1257 4.4479 -8.0690
Er Ge Ir
4 8 4
direct
0.2048 0.2048 0.0000
0.2361 0.0000 0.2361
0.7639 0.0000 0.7639
0.7952 0.7952 0.0000
0.0767 0.5767 0.5000
0.1462 0.7985 0.3477
0.4223 0.4223 0.0000
0.4507 0.7985 0.6523
0.5493 0.2015 0.3477
0.5777 0.5777 0.0000
0.8538 0.2015 0.6523
0.9233 0.4233 0.5000
0.1053 0.3550 0.7504
0.3954 0.6450 0.7504
0.6046 0.3550 0.2496
0.8947 0.6450 0.2496
```


[3]
The following is a theoretical powder X-ray diffraction pattern of YZrS2. It was derived from a cell relaxed with PBE, using Cu Ka.

Largest 10 diffraction maxima, most intense first, 10° ≤ 2θ ≤ 90°:
2θ/deg, I_rel
33.2, 100
47.1, 36
48.2, 33
28.5, 33
58.9, 18
78.6, 17
80.3, 14
88.5, 11
69.7, 10
29.3, 10

Crystal structure
```
YZrS2
1.0
3.8565 0.0000 0.0000
-1.9282 3.3398 0.0000
0.0000 0.0000 18.2875
Y Zr S
3 3 6
direct
0.0000 0.0000 0.0000
0.3333 0.6667 0.6667
0.6667 0.3333 0.3333
0.0000 0.0000 0.5000
0.3333 0.6667 0.1667
0.6667 0.3333 0.8333
0.0000 0.0000 0.2466
0.0000 0.0000 0.7534
0.3333 0.6667 0.4201
0.3333 0.6667 0.9132
0.6667 0.3333 0.0868
0.6667 0.3333 0.5799
```


[4]
The following is a theoretical powder X-ray diffraction pattern of Cr2CuS4. It was derived from a cell relaxed with PBE, using Cu Ka.

Largest 10 diffraction maxima, most intense first, 10° ≤ 2θ ≤ 90°:
2θ/deg, I_rel
30.1, 100
52.6, 85
48.0, 44
36.5, 41
25.6, 38
74.0, 16
45.1, 15
77.6, 12
85.4, 11
61.8, 11

Crystal structure
```
Cr2CuS4
1.0
0.0000 4.9216 4.9216
4.9216 0.0000 4.9216
4.9216 4.9216 0.0000
Cr Cu S
4 2 8
direct
0.0000 0.0000 0.0000
0.0000 0.0000 0.5000
0.0000 0.5000 0.0000
0.5000 0.0000 0.0000
0.3750 0.3750 0.3750
0.6250 0.6250 0.6250
0.2264 0.7579 0.7579
0.2421 0.2421 0.2421
0.2421 0.2421 0.7736
0.2421 0.7736 0.2421
0.7579 0.2264 0.7579
0.7579 0.7579 0.2264
0.7579 0.7579 0.7579
0.7736 0.2421 0.2421
```


[5]
The following is a theoretical powder X-ray diffraction pattern of NdCo. It was derived from a cell relaxed with PBE, using Cu Ka.

Largest 10 diffraction maxima, most intense first, 10° ≤ 2θ ≤ 90°:
2θ/deg, I_rel
29.9, 100
33.8, 84
33.5, 59
38.1, 42
39.5, 37
41.1, 36
30.9, 32
56.6, 25
61.7, 23
65.3, 20

Crystal structure
```
NdCo
1.0
4.9284 -2.8971 0.0000
4.9284 2.8971 0.0000
-0.1078 0.0000 7.4151
Nd Co
5 5
direct
0.0000 0.0000 0.0000
0.1598 0.1598 0.5721
0.3374 0.3374 0.1271
0.6626 0.6626 0.8729
0.8402 0.8402 0.4279
0.1901 0.6086 0.7394
0.3914 0.8099 0.2606
0.5000 0.5000 0.5000
0.6086 0.1901 0.7394
0.8099 0.3914 0.2606
```


[6]
The following is a theoretical powder X-ray diffraction pattern of Ti3Cu2TeP6O24. It was derived from a cell relaxed with PBE, using Cu Ka.

Largest 10 diffraction maxima, most intense first, 10° ≤ 2θ ≤ 90°:
2θ/deg, I_rel
20.3, 100
23.8, 86
32.3, 76
55.6, 40
35.6, 35
46.3, 31
48.8, 25
61.8, 18
24.9, 17
31.5, 14

Crystal structure
```
Ti3Cu2TeP6O24
1.0
4.3716 2.5239 7.1663
-4.3716 2.5239 7.1663
0.0000 -5.0479 7.1663
Ti Cu Te P O
3 2 1 6 24
direct
0.0000 0.0000 0.0000
0.2154 0.2154 0.2154
0.5002 0.5002 0.5002
0.3583 0.3583 0.3583
0.8624 0.8624 0.8624
0.7153 0.7153 0.7153
0.1170 0.8197 0.3900
0.3082 0.6071 0.9019
0.3900 0.1170 0.8197
0.6071 0.9019 0.3082
0.8197 0.3900 0.1170
0.9019 0.3082 0.6071
0.0556 0.8588 0.2325
0.0887 0.2852 0.4424
0.1219 0.7746 0.9185
0.1771 0.9787 0.3439
0.2325 0.0556 0.8588
0.2812 0.6301 0.4092
0.2852 0.4424 0.0887
0.3439 0.1771 0.9787
0.3592 0.5583 0.7316
0.4092 0.2812 0.6301
0.4424 0.0887 0.2852
0.4636 0.6584 0.8805
0.5583 0.7316 0.3592
0.5816 0.9550 0.8093
0.6301 0.4092 0.2812
0.6584 0.8805 0.4636
0.7316 0.3592 0.5583
0.7746 0.9185 0.1219
0.8093 0.5816 0.9550
0.8588 0.2324 0.0556
0.8805 0.4636 0.6584
0.9185 0.1219 0.7746
0.9550 0.8093 0.5816
0.9787 0.3439 0.1771
```